Theoretical PXRD pattern of Mg3MoH8 for Cu Kα (λ = 1.5418 Å), from a structure optimized by DFT (GGA-PBE).
Kinematic intensities with the Lorentz-polarization factor, no thermal factor.

Most intense lines, 2θ = 5–70°, sorted by position:
index  2θ (°)  Rel. int.
1 0 0  19.42  54
1 1 0  27.60  44
1 1 1  33.97  100
2 0 0  39.43  44
2 1 0  44.32  23
2 1 1  48.81  18
2 2 0  56.99  34
2 2 1  60.80  11
3 1 0  64.47  8
3 1 1  68.03  37

Atomic structure:
```
Mg3MoH8
1.0
4.5704 0.0000 0.0000
0.0000 4.5704 0.0000
0.0000 0.0000 4.5704
Mg Mo H
3 1 8
Direct
0.0000 0.0000 0.5000
0.0000 0.5000 0.0000
0.5000 0.0000 0.0000
0.5000 0.5000 0.5000
0.2616 0.2616 0.2616
0.2616 0.2616 0.7384
0.2616 0.7384 0.2616
0.2616 0.7384 0.7384
0.7384 0.2616 0.2616
0.7384 0.2616 0.7384
0.7384 0.7384 0.2616
0.7384 0.7384 0.7384
```